Theoretical X-ray diffraction stick pattern of TbThHg6 for a wavelength of 1.5418 Å, from a DFT-relaxed cell (PBE, Alexandria).
Kinematic intensities with the Lorentz-polarization factor, no thermal factor.

Crystal structure
a = 5.0022 Å, b = 6.7802 Å, c = 11.7166 Å
α = 90.00°, β = 90.00°, γ = 90.00°
Atoms (fractional coordinates):
Tb1 0.0000 0.0000 0.0000
Tb2 0.0000 0.5000 0.5000
Th1 0.5000 0.0000 0.6679
Th2 0.5000 0.5000 0.1679
Hg1 0.0000 0.0000 0.4962
Hg2 0.0000 0.2428 0.2526
Hg3 0.0000 0.2572 0.7526
Hg4 0.0000 0.5000 0.9962
Hg5 0.0000 0.7428 0.7526
Hg6 0.0000 0.7572 0.2526
Hg7 0.5000 0.0000 0.1675
Hg8 0.5000 0.2493 0.4176
Hg9 0.5000 0.2507 0.9176
Hg10 0.5000 0.5000 0.6675
Hg11 0.5000 0.7493 0.9176
Hg12 0.5000 0.7507 0.4176

Principal peaks in the range 2θ from 10° to 90°, by angle:
2θ/deg  d [Å]  Rel. int.
30.48  2.932  25
35.48  2.530  100
35.91  2.501  22
47.80  1.903  15
54.21  1.692  13
64.26  1.449  18
66.41  1.408  11
66.71  1.402  22



Theoretical X-ray diffraction stick pattern of Sn2Pd3Pt for a wavelength of 1.5418 Å, from a DFT-relaxed cell (PBE, Alexandria).
Kinematic intensities with the Lorentz-polarization factor, no thermal factor.

Crystal structure
a = 7.8941 Å, b = 7.8941 Å, c = 7.8941 Å
α = 137.92°, β = 61.00°, γ = 137.95°
Atoms (fractional coordinates):
Sn1 0.1371 0.2484 0.3855
Sn2 0.3629 0.7484 0.1113
Sn3 0.6371 0.2516 0.8887
Sn4 0.8629 0.7516 0.6145
Pd1 0.1690 0.7464 0.9154
Pd2 0.2500 0.7500 0.5000
Pd3 0.3310 0.2464 0.5774
Pd4 0.6690 0.7536 0.4226
Pd5 0.7500 0.2500 0.5000
Pd6 0.8310 0.2536 0.0846
Pt1 0.2500 0.2500 0.0000
Pt2 0.7500 0.7500 0.0000

Principal peaks in the range 2θ from 10° to 90°, by angle:
2θ/deg  d [Å]  Rel. int.
13.02  6.802  23
34.29  2.615  86
39.76  2.267  28
41.48  2.177  100
45.26  2.003  57
61.80  1.501  30
65.94  1.417  19
80.98  1.187  29



Theoretical X-ray diffraction stick pattern of Be4HgW for a wavelength of 1.5418 Å, from a DFT-relaxed cell (PBE, Alexandria).
Kinematic intensities with the Lorentz-polarization factor, no thermal factor.

Crystal structure
a = 4.6008 Å, b = 4.6008 Å, c = 4.6008 Å
α = 60.00°, β = 60.00°, γ = 60.00°
Atoms (fractional coordinates):
Be1 0.3810 0.3810 0.3810
Be2 0.3810 0.3810 0.8569
Be3 0.3810 0.8569 0.3810
Be4 0.8569 0.3810 0.3810
Hg1 0.0000 0.0000 0.0000
W1 0.7500 0.7500 0.7500

Principal peaks in the range 2θ from 10° to 90°, by angle:
2θ/deg  d [Å]  Rel. int.
23.69  3.756  100
39.16  2.300  92
46.28  1.962  63
56.58  1.627  14
62.19  1.493  22
70.97  1.328  33
76.00  1.252  20
89.01  1.100  18